The following is a computed XRD peak list of Na2CaS2O8. It was derived from DFT lattice parameters and positions (GGA-PBE), using λ = 1.5418 Å (Cu Kα).

Unit cell a=6.6173 b=6.6173 c=8.6765 alpha=107.08 beta=107.08 gamma=78.44
Fractional positions:
Na (0.0859, 0.1951, 0.4373)
Na (0.1951, 0.0859, 0.9373)
Na (0.8049, 0.9141, 0.0627)
Na (0.9141, 0.8049, 0.5627)
Ca (0.4383, 0.5617, 0.2500)
Ca (0.5617, 0.4383, 0.7500)
S (0.0999, 0.5327, 0.8146)
S (0.4673, 0.9001, 0.6854)
S (0.5327, 0.0999, 0.3146)
S (0.9001, 0.4673, 0.1854)
O (0.0183, 0.7613, 0.8696)
O (0.0695, 0.6057, 0.2241)
O (0.1744, 0.5011, 0.6604)
O (0.2387, 0.9817, 0.6304)
O (0.2877, 0.4632, 0.9416)
O (0.3943, 0.9305, 0.2759)
O (0.4632, 0.2877, 0.4416)
O (0.4989, 0.8256, 0.8396)
O (0.5011, 0.1744, 0.1604)
O (0.5368, 0.7123, 0.5584)
O (0.6057, 0.0695, 0.7241)
O (0.7123, 0.5368, 0.0584)
O (0.7613, 0.0183, 0.3696)
O (0.8256, 0.4989, 0.3396)
O (0.9305, 0.3943, 0.7759)
O (0.9817, 0.2387, 0.1304)

Main lines, in order of rising 2θ (2θ from 10° to 90°):
d (Å)	two_theta	I (rel.)
4.434	20.02	82.0
4.014	22.14	68.8
3.208	27.81	95.2
3.164	28.21	100.0
3.138	28.44	82.5
3.052	29.26	49.4
2.897	30.87	68.6
2.842	31.48	98.3
2.720	32.93	93.3
2.026	44.74	72.1